# LaZnCrMoO6
Theoretical powder diffraction line list, Cu Kα, 1.54184 Å. Input: the PBE+U geometry in Alexandria.
Neutral-atom scattering factors, no anomalous dispersion.

Cell and atoms:
```
20
Lattice="5.4378 0.0000 0.0000 0.0000 5.5252 0.0000 -5.4144 0.0000 7.9840" Properties=species:S:1:pos:R:3 pbc="T T T"
La 0.0000 1.1726 0.0000
La -2.7072 4.3526 3.9920
Zn 0.0335 1.5280 3.9404
Zn -2.6737 3.9972 7.9324
Cr 2.7442 1.3821 2.0000
Cr 0.0370 4.1431 5.9920
Mo -2.6763 1.4520 5.9986
Mo 0.0309 4.0732 2.0065
O -1.0580 2.4375 1.6486
O -3.7652 3.0877 5.6406
O -1.9998 1.1806 3.9650
O -4.7070 4.3446 7.9570
O 2.2791 1.7880 0.0664
O -0.4282 3.7372 4.0584
O 1.0230 0.3019 2.4583
O -1.6842 5.2233 6.4503
O -1.0913 2.5888 6.4844
O 1.6159 2.9364 2.4924
O 1.0283 0.3707 5.4646
O 3.7355 5.1545 1.4726
```

Top 6 peaks for 10 to 80 degrees two-theta, sorted by position:
Position (°2θ), I_rel, (hkl)
32.19, 100, 1 1 -3
32.41, 23, 0 2 0
32.94, 22, 2 0 -2
45.44, 14, 0 0 4
46.89, 23, 2 2 -2
57.67, 17, 1 3 1